The following is a simulated powder X-ray diffraction pattern of K2CrSO7. It was derived from a structure optimized by DFT (GGA+U), using Cu Ka.
Peak positions follow from Bragg's law for the DFT cell and can differ from measured ones.

Main lines, most intense first (2θ from 10° to 90°):
3.301 Å, rel. 100.0, (2 0 0); 3.363 Å, rel. 68.0, (1 2 -1); 3.234 Å, rel. 47.7, (2 0 -4); 3.762 Å, rel. 44.7, (0 2 0); 4.904 Å, rel. 36.6, (1 1 -2); 3.025 Å, rel. 30.3, (2 1 0); 2.984 Å, rel. 28.6, (1 2 -3); 2.088 Å, rel. 23.9, (1 2 4); 1.978 Å, rel. 20.7, (3 2 -5); 2.380 Å, rel. 16.8, (1 1 4)

```
K2CrSO7
1.0
7.530 0.000 0.000
0.000 7.523 0.000
-7.195 0.000 13.188
K Cr S O
8 4 4 28
direct
0.024 0.119 0.156
0.024 0.381 0.656
0.458 0.707 0.636
0.458 0.793 0.136
0.542 0.207 0.864
0.542 0.293 0.364
0.976 0.619 0.344
0.976 0.881 0.844
0.093 0.169 0.420
0.093 0.331 0.920
0.907 0.669 0.080
0.907 0.831 0.580
0.497 0.709 0.884
0.497 0.791 0.384
0.503 0.209 0.616
0.503 0.291 0.116
0.038 0.703 0.546
0.038 0.797 0.046
0.039 0.003 0.641
0.039 0.497 0.141
0.156 0.215 0.847
0.156 0.285 0.347
0.323 0.092 0.530
0.323 0.408 0.030
0.373 0.574 0.809
0.373 0.926 0.309
0.396 0.701 0.433
0.396 0.799 0.933
0.407 0.167 0.156
0.407 0.333 0.656
0.593 0.667 0.344
0.593 0.833 0.844
0.604 0.201 0.067
0.604 0.299 0.567
0.627 0.074 0.691
0.627 0.426 0.191
0.677 0.592 0.970
0.677 0.908 0.470
0.844 0.715 0.653
0.844 0.785 0.153
0.961 0.503 0.859
0.961 0.997 0.359
0.962 0.203 0.954
0.962 0.297 0.454
```